Structure and computed X-ray diffraction stick pattern of Pr3Ho4Tm4 (DFT lattice parameters and positions (GGA-PBE); Cu Kα (λ = 1.5418 Å)).
No peak broadening, texture or thermal motion is included.

Atomic structure:
a b c (Å): 10.586 6.642 6.642
angles (deg): 50.71 90.00 90.00
Atoms (fractional coordinates):
Pr  0.000  0.000  0.000
Pr  0.291  0.154  0.154
Pr  0.709  0.154  0.154
Ho  0.000  0.702  0.702
Ho  0.216  0.496  0.496
Ho  0.500  0.635  0.635
Ho  0.784  0.496  0.496
Tm  0.000  0.303  0.303
Tm  0.297  0.849  0.849
Tm  0.500  0.361  0.361
Tm  0.703  0.849  0.849

Main lines, sorted by position (15 to 90 degrees two-theta):
| d (Å) | Rel. int. |
| --- | --- |
| 2.909 | 26 |
| 2.887 | 14 |
| 2.844 | 36 |
| 2.784 | 100 |
| 2.647 | 16 |
| 2.026 | 10 |
| 1.938 | 13 |
| 1.730 | 9 |
| 1.636 | 9 |
| 1.630 | 20 |
| 1.489 | 12 |
| 1.478 | 11 |

***

Structure and computed X-ray diffraction stick pattern of Li2TbPm2Sn2 (DFT lattice parameters and positions (GGA-PBE); Cu Kα (λ = 1.5418 Å)).
No peak broadening, texture or thermal motion is included.

Atomic structure:
a b c (Å): 9.522 9.522 9.522
angles (deg): 29.19 29.19 29.19
Atoms (fractional coordinates):
Li  0.103  0.103  0.103
Li  0.897  0.897  0.897
Tb  0.500  0.500  0.500
Pm  0.372  0.372  0.372
Pm  0.628  0.628  0.628
Sn  0.234  0.234  0.234
Sn  0.766  0.766  0.766

Main lines, sorted by position (15 to 90 degrees two-theta):
| d (Å) | Rel. int. |
| --- | --- |
| 4.108 | 87 |
| 2.845 | 97 |
| 2.639 | 100 |
| 2.399 | 99 |
| 2.072 | 14 |
| 1.834 | 27 |
| 1.775 | 31 |
| 1.457 | 26 |
| 1.451 | 38 |
| 1.427 | 30 |
| 1.385 | 18 |
| 1.103 | 17 |

***

Structure and computed X-ray diffraction stick pattern of LiSe7 (DFT lattice parameters and positions (GGA-PBE); Cu Kα (λ = 1.5418 Å)).
No peak broadening, texture or thermal motion is included.

Atomic structure:
a b c (Å): 6.122 6.122 6.122
angles (deg): 60.00 60.00 60.00
Atoms (fractional coordinates):
Li  0.000  0.000  0.000
Se  0.000  0.000  0.500
Se  0.000  0.500  0.000
Se  0.000  0.500  0.500
Se  0.500  0.000  0.000
Se  0.500  0.000  0.500
Se  0.500  0.500  0.000
Se  0.500  0.500  0.500

Main lines, sorted by position (15 to 90 degrees two-theta):
| d (Å) | Rel. int. |
| --- | --- |
| 4.998 | 10 |
| 4.329 | 6 |
| 3.061 | 5 |
| 2.610 | 6 |
| 2.499 | 100 |
| 2.164 | 49 |
| 1.986 | 3 |
| 1.936 | 2 |
| 1.666 | 2 |
| 1.530 | 32 |
| 1.305 | 38 |
| 1.250 | 11 |

***

Structure and computed X-ray diffraction stick pattern of Pr3Zn4Cd4 (DFT lattice parameters and positions (GGA-PBE); Cu Kα (λ = 1.5418 Å)).
No peak broadening, texture or thermal motion is included.

Atomic structure:
a b c (Å): 8.757 8.757 8.757
angles (deg): 150.23 128.58 60.55
Atoms (fractional coordinates):
Pr  0.000  0.000  0.000
Pr  0.375  0.875  0.500
Pr  0.625  0.125  0.500
Zn  0.221  0.221  0.000
Zn  0.325  0.500  0.825
Zn  0.675  0.500  0.175
Zn  0.779  0.779  0.000
Cd  0.025  0.331  0.694
Cd  0.362  0.669  0.694
Cd  0.638  0.331  0.306
Cd  0.975  0.669  0.306

Main lines, sorted by position (15 to 90 degrees two-theta):
| d (Å) | Rel. int. |
| --- | --- |
| 2.850 | 99 |
| 2.810 | 28 |
| 2.705 | 100 |
| 2.518 | 50 |
| 2.263 | 44 |
| 2.249 | 45 |
| 2.119 | 13 |
| 1.756 | 14 |
| 1.595 | 29 |
| 1.574 | 13 |
| 1.371 | 12 |
| 1.345 | 21 |

***

Structure and computed X-ray diffraction stick pattern of LaGa5Pt7 (DFT lattice parameters and positions (GGA-PBE); Cu Kα (λ = 1.5418 Å)).
No peak broadening, texture or thermal motion is included.

Atomic structure:
a b c (Å): 6.899 6.899 6.899
angles (deg): 133.67 97.09 100.73
Atoms (fractional coordinates):
La  0.000  0.000  0.000
Ga  0.479  0.493  0.498
Ga  0.479  0.982  0.986
Ga  0.769  0.269  0.500
Ga  0.995  0.493  0.014
Ga  0.995  0.982  0.502
Pt  0.186  0.475  0.711
Pt  0.221  0.721  0.500
Pt  0.341  0.341  0.000
Pt  0.349  0.007  0.341
Pt  0.666  0.007  0.659
Pt  0.667  0.667  0.000
Pt  0.764  0.475  0.289

Main lines, sorted by position (15 to 90 degrees two-theta):
| d (Å) | Rel. int. |
| --- | --- |
| 3.169 | 34 |
| 2.714 | 75 |
| 2.656 | 71 |
| 2.581 | 49 |
| 2.310 | 34 |
| 2.284 | 31 |
| 2.274 | 81 |
| 2.247 | 70 |
| 2.200 | 35 |
| 2.061 | 100 |
| 2.047 | 29 |
| 1.284 | 27 |

***

Structure and computed X-ray diffraction stick pattern of In16Ga12Pb (DFT lattice parameters and positions (GGA-PBE); Cu Kα (λ = 1.5418 Å)).
No peak broadening, texture or thermal motion is included.

Atomic structure:
a b c (Å): 9.132 9.218 10.069
angles (deg): 112.58 103.63 104.20
Atoms (fractional coordinates):
In  0.000  0.000  0.000
In  0.001  0.306  0.593
In  0.319  0.669  0.671
In  0.328  0.648  0.339
In  0.330  0.977  0.592
In  0.358  0.968  0.990
In  0.371  0.339  0.641
In  0.574  0.973  0.325
In  0.597  0.336  0.013
In  0.641  0.348  0.381
In  0.681  0.693  0.377
In  0.684  0.663  0.694
In  0.695  0.281  0.691
In  0.953  0.951  0.328
In  0.970  0.590  0.335
In  0.990  0.358  0.996
Ga  0.016  0.624  0.828
Ga  0.038  0.811  0.671
Ga  0.136  0.331  0.342
Ga  0.140  0.769  0.149
Ga  0.190  0.172  0.814
Ga  0.299  0.114  0.309
Ga  0.335  0.319  0.147
Ga  0.641  0.013  0.829
Ga  0.657  0.856  0.021
Ga  0.797  0.623  0.996
Ga  0.809  0.194  0.186
Ga  0.851  0.014  0.670
Pb  0.357  0.579  0.984

Main lines, sorted by position (15 to 90 degrees two-theta):
| d (Å) | Rel. int. |
| --- | --- |
| 2.892 | 20 |
| 2.881 | 62 |
| 2.831 | 34 |
| 2.743 | 52 |
| 2.661 | 38 |
| 2.633 | 100 |
| 2.625 | 68 |
| 2.608 | 58 |
| 2.500 | 38 |
| 2.437 | 33 |
| 2.430 | 24 |
| 2.397 | 55 |

***

Structure and computed X-ray diffraction stick pattern of PrNp6Se8 (DFT lattice parameters and positions (GGA-PBE); Cu Kα (λ = 1.5418 Å)).
No peak broadening, texture or thermal motion is included.

Atomic structure:
a b c (Å): 8.205 8.205 8.205
angles (deg): 60.00 60.00 60.00
Atoms (fractional coordinates):
Pr  0.000  0.000  0.000
Np  0.000  0.000  0.500
Np  0.000  0.500  0.000
Np  0.000  0.500  0.500
Np  0.500  0.000  0.000
Np  0.500  0.000  0.500
Np  0.500  0.500  0.000
Se  0.250  0.250  0.250
Se  0.259  0.259  0.741
Se  0.259  0.741  0.259
Se  0.259  0.741  0.741
Se  0.741  0.259  0.259
Se  0.741  0.259  0.741
Se  0.741  0.741  0.259
Se  0.750  0.750  0.750

Main lines, sorted by position (15 to 90 degrees two-theta):
| d (Å) | Rel. int. |
| --- | --- |
| 5.801 | 11 |
| 4.102 | 10 |
| 3.349 | 32 |
| 2.901 | 100 |
| 2.594 | 7 |
| 2.051 | 75 |
| 1.749 | 17 |
| 1.675 | 27 |
| 1.450 | 12 |
| 1.331 | 7 |
| 1.297 | 34 |
| 1.184 | 26 |

***

Structure and computed X-ray diffraction stick pattern of SrGaSi6Pt2 (DFT lattice parameters and positions (GGA-PBE); Cu Kα (λ = 1.5418 Å)).
No peak broadening, texture or thermal motion is included.

Atomic structure:
a b c (Å): 10.867 10.867 10.867
angles (deg): 26.03 26.03 26.03
Atoms (fractional coordinates):
Sr  0.000  0.000  0.000
Ga  0.500  0.500  0.500
Si  0.231  0.737  0.737
Si  0.263  0.263  0.769
Si  0.263  0.769  0.263
Si  0.737  0.231  0.737
Si  0.737  0.737  0.231
Si  0.769  0.263  0.263
Pt  0.263  0.263  0.263
Pt  0.737  0.737  0.737

Main lines, sorted by position (15 to 90 degrees two-theta):
| d (Å) | Rel. int. |
| --- | --- |
| 5.247 | 38 |
| 3.731 | 100 |
| 3.084 | 19 |
| 2.884 | 43 |
| 2.447 | 36 |
| 2.372 | 19 |
| 2.101 | 29 |
| 2.046 | 42 |
| 1.866 | 23 |
| 1.789 | 14 |
| 1.593 | 19 |
| 1.570 | 17 |

***

Structure and computed X-ray diffraction stick pattern of K2RbTi (DFT lattice parameters and positions (GGA-PBE); Cu Kα (λ = 1.5418 Å)).
No peak broadening, texture or thermal motion is included.

Atomic structure:
a b c (Å): 8.652 8.652 8.652
angles (deg): 102.69 102.69 124.11
Atoms (fractional coordinates):
K  0.089  0.125  0.464
K  0.375  0.911  0.036
K  0.661  0.625  0.536
K  0.875  0.339  0.964
Rb  0.250  0.750  0.500
Rb  0.500  0.500  0.000
Ti  0.000  0.000  0.000
Ti  0.750  0.250  0.500

Main lines, sorted by position (15 to 90 degrees two-theta):
| d (Å) | Rel. int. |
| --- | --- |
| 5.404 | 15 |
| 4.152 | 18 |
| 3.822 | 100 |
| 3.582 | 95 |
| 2.702 | 36 |
| 2.613 | 75 |
| 2.157 | 20 |
| 1.898 | 26 |
| 1.879 | 27 |
| 1.686 | 19 |
| 1.553 | 23 |
| 1.431 | 16 |